TiPt3Rh4: simulated X-ray diffraction stick pattern (copper Kα), based on a cell relaxed with GGA-PBE.
Kinematic intensities with the Lorentz-polarization factor, no thermal factor.

Unit cell a=2.756 b=8.667 c=10.314 alpha=90.00 beta=90.00 gamma=90.00
Space group Immm (No. 71)
Asymmetric unit:
Ti  0.000  0.000  0.000 x2
Pt  0.000  0.000  0.500 x2
Pt  0.000  0.500  0.291 x4
Rh  0.000  0.260  0.127 x8

Largest 10 diffraction maxima, sorted by position, 5° ≤ 2θ ≤ 70°:
Position (°2θ)	I_rel
27.9	44
38.5	81
39.7	64
40.7	100
41.7	52
47.2	25
49.0	40
55.7	27
66.2	17
68.0	12